Entry 1:
Ba8EuB6N12: calculated X-ray powder pattern (CuKα), based on a DFT-relaxed cell (GGA-PBE, the Materials Project).
Lines closer than 0.1° are merged.

Top 6 peaks for 10° ≤ 2θ ≤ 90°, by angle:
2θ = 22.14°, I 44.0, hkl 2 0 0
2θ = 31.51°, I 100.0, hkl 2 2 0
2θ = 38.85°, I 20.1, hkl 2 2 2
2θ = 45.16°, I 19.7, hkl 4 0 0
2θ = 50.85°, I 21.6, hkl 4 2 0
2θ = 56.11°, I 31.3, hkl 4 2 2

Atomic structure:
```
data_Ba8EuB6N12
_symmetry_space_group_name_H-M 'P m -3 m'
_symmetry_Int_Tables_number 221
_symmetry_space_group_name_Hall '-P 4 2 3'
_cell_length_a 8.031
_cell_length_b 8.031
_cell_length_c 8.031
_cell_angle_alpha 90.00
_cell_angle_beta 90.00
_cell_angle_gamma 90.00
loop_
_atom_site_label
_atom_site_fract_x
_atom_site_fract_y
_atom_site_fract_z
Ba1 0.238 0.238 0.238
Eu1 0.500 0.500 0.500
B1 0.000 0.000 0.500
B2 0.000 0.500 0.500
N1 0.000 0.000 0.332
N2 0.170 0.500 0.500
```

Entry 2:
BaB2F8: calculated X-ray powder pattern (CuKα), based on a DFT-relaxed cell (GGA-PBE, the Materials Project).
Lines closer than 0.1° are merged.

Top 6 peaks for 10° ≤ 2θ ≤ 90°, by angle:
2θ = 14.98°, I 61.5, hkl 2 0 0
2θ = 18.92°, I 43.4, hkl 1 1 0
2θ = 19.74°, I 45.5, hkl 0 0 1
2θ = 25.30°, I 100.0, hkl 1 1 -1
2θ = 28.59°, I 55.1, hkl 3 1 0
2θ = 40.61°, I 73.4, hkl 0 2 1

Atomic structure:
```
data_BaB2F8
_symmetry_space_group_name_H-M 'C 1 2/m 1'
_symmetry_Int_Tables_number 12
_cell_length_a 12.763
_cell_length_b 5.110
_cell_length_c 4.856
_cell_angle_alpha 90.00
_cell_angle_beta 112.02
_cell_angle_gamma 90.00
loop_
_symmetry_equiv_pos_as_xyz
'x,y,z'
'-x,-y,-z'
'-x,y,-z'
'x,-y,z'
'x+1/2,y+1/2,z'
'-x+1/2,-y+1/2,-z'
'-x+1/2,y+1/2,-z'
'x+1/2,-y+1/2,z'
loop_
_atom_site_label
_atom_site_fract_x
_atom_site_fract_y
_atom_site_fract_z
Ba1 0.000 0.000 0.000
B1 0.152 0.500 0.709
F1 0.101 0.500 0.926
F2 0.116 0.272 0.533
F3 0.230 0.000 0.149
```